No. 1
Starting from DFT lattice parameters and positions (PBE), the powder X-ray diffraction pattern of BaCu4Au8 was simulated for a wavelength of 1.5418 Å.

Crystal structure
a b c (Å): 9.3550 9.3550 5.3789
angles (deg): 90.00 90.00 90.00
Space group I4/mmm (No. 139)
Inequivalent atoms, fractional coordinates:
Ba (0.0000, 0.0000, 0.0000) [2 per cell]
Cu (0.2500, 0.2500, 0.2500) [8 per cell]
Au (0.0000, 0.2267, 0.5000) [8 per cell]
Au (0.0000, 0.3454, 0.0000) [8 per cell]

The 12 most intense peaks (10 to 90 degrees two-theta), by angle:
two_theta	d [Å]	I (rel.)
27.0	3.307	22
33.2	2.698	28
33.3	2.689	31
38.5	2.337	100
38.6	2.332	18
43.3	2.091	47
43.4	2.087	41
63.0	1.475	17
66.3	1.410	11
66.5	1.407	10
69.7	1.350	36
88.9	1.101	14



No. 2
Starting from DFT lattice parameters and positions (PBE), the powder X-ray diffraction pattern of Ba3CuAu3 was simulated for a wavelength of 1.5418 Å.

Crystal structure
a b c (Å): 4.5533 4.7020 20.9770
angles (deg): 90.00 90.00 90.00
Space group Imm2 (No. 44)
Inequivalent atoms, fractional coordinates:
Ba (0.0000, 0.0000, 0.0000) [2 per cell]
Ba (0.0000, 0.0000, 0.3615) [2 per cell]
Ba (0.0000, 0.5000, 0.1810) [2 per cell]
Cu (0.0000, 0.5000, 0.7475) [2 per cell]
Au (0.0000, 0.0000, 0.5342) [2 per cell]
Au (0.0000, 0.0000, 0.8134) [2 per cell]
Au (0.0000, 0.5000, 0.6227) [2 per cell]

The 12 most intense peaks (10 to 90 degrees two-theta), by angle:
two_theta	d [Å]	I (rel.)
20.0	4.450	23
28.6	3.123	100
28.9	3.085	44
32.3	2.775	72
35.5	2.527	47
37.7	2.389	31
38.3	2.351	37
39.6	2.277	34
52.0	1.759	23
54.2	1.691	28
56.2	1.635	24
66.4	1.408	22



No. 3
Starting from DFT lattice parameters and positions (PBE), the powder X-ray diffraction pattern of Ba3Cu3Au2 was simulated for a wavelength of 1.5418 Å.

Crystal structure
a b c (Å): 4.6218 11.8570 16.9657
angles (deg): 90.00 90.00 90.00
Space group Cmcm (No. 63)
Inequivalent atoms, fractional coordinates:
Ba (0.0000, 0.0754, 0.2500) [4 per cell]
Ba (0.0000, 0.3614, 0.0882) [8 per cell]
Cu (0.0000, 0.0737, 0.0518) [8 per cell]
Cu (0.0000, 0.2236, 0.7500) [4 per cell]
Au (0.0000, 0.3488, 0.6150) [8 per cell]

The 12 most intense peaks (10 to 90 degrees two-theta), by angle:
two_theta	d [Å]	I (rel.)
15.8	5.597	48
29.6	3.022	100
29.7	3.004	79
30.2	2.962	56
31.6	2.829	50
33.6	2.665	22
36.7	2.451	63
37.0	2.430	24
39.0	2.311	50
40.1	2.249	34
51.0	1.790	38
58.0	1.590	31



No. 4
Starting from DFT lattice parameters and positions (PBE), the powder X-ray diffraction pattern of BaDyAuSe3 was simulated for a wavelength of 1.5418 Å.

Crystal structure
a b c (Å): 8.6564 4.2414 9.6186
angles (deg): 90.00 106.01 90.00
Space group P2_1/m (No. 11)
Inequivalent atoms, fractional coordinates:
Ba (0.2063, 0.2500, 0.2514) [2 per cell]
Dy (0.3202, 0.7500, 0.8379) [2 per cell]
Au (0.1008, 0.2500, 0.5917) [2 per cell]
Se (0.1006, 0.2500, 0.8683) [2 per cell]
Se (0.2625, 0.7500, 0.5299) [2 per cell]
Se (0.4465, 0.7500, 0.1501) [2 per cell]

The 12 most intense peaks (10 to 90 degrees two-theta), by angle:
two_theta	d [Å]	I (rel.)
10.6	8.320	23
12.2	7.260	93
29.7	3.005	32
30.1	2.970	100
33.5	2.678	32
33.7	2.661	26
35.2	2.550	47
36.0	2.493	27
37.7	2.385	28
42.6	2.121	38
44.7	2.028	26
47.8	1.904	26



No. 5
Starting from DFT lattice parameters and positions (PBE), the powder X-ray diffraction pattern of BaErMg2Au4 was simulated for a wavelength of 1.5418 Å.

Crystal structure
a b c (Å): 4.7594 4.7594 29.6425
angles (deg): 90.00 90.00 120.00
Space group R-3m (No. 166, hexagonal axes)
Inequivalent atoms, fractional coordinates:
Ba (0.0000, 0.0000, 0.0000) [3 per cell]
Er (0.0000, 0.0000, 0.5000) [3 per cell]
Mg (0.0000, 0.0000, 0.2367) [6 per cell]
Au (0.0000, 0.0000, 0.1218) [6 per cell]
Au (0.0000, 0.0000, 0.4031) [6 per cell]

The 12 most intense peaks (10 to 90 degrees two-theta), by angle:
two_theta	d [Å]	I (rel.)
22.4	3.971	46
24.7	3.602	27
30.3	2.954	17
32.5	2.756	72
37.4	2.407	42
37.8	2.380	100
40.0	2.255	28
50.7	1.801	21
54.2	1.692	17
64.9	1.436	20
68.0	1.379	16
68.3	1.374	18



No. 6
Starting from DFT lattice parameters and positions (PBE), the powder X-ray diffraction pattern of BaEr2Au2O6 was simulated for a wavelength of 1.5418 Å.

Crystal structure
a b c (Å): 6.3025 6.5264 6.7511
angles (deg): 79.91 62.19 70.69
Space group P-1 (No. 2)
Inequivalent atoms, fractional coordinates:
Ba (0.0000, 0.0000, 0.0000) [1 per cell]
Er (0.3164, 0.9995, 0.3671) [2 per cell]
Au (0.1882, 0.4996, 0.6230) [2 per cell]
O (0.0613, 0.8289, 0.6291) [2 per cell]
O (0.3142, 0.1703, 0.6196) [2 per cell]
O (0.4700, 0.8942, 0.0028) [2 per cell]

The 12 most intense peaks (10 to 90 degrees two-theta), by angle:
two_theta	d [Å]	I (rel.)
14.8	5.970	99
28.0	3.188	96
28.4	3.146	95
29.0	3.078	97
30.0	2.974	100
32.7	2.741	52
33.4	2.686	50
34.3	2.614	57
45.6	1.990	32
47.2	1.927	29
49.0	1.858	47
57.6	1.601	31



Question: What is the formula in the second record?
Answer: Ba3CuAu3